1.
For Zr3Sn, a crystal structure in the Materials Project, relaxed with GGA-PBE gives the theoretical XRD peak list in this record (Cu Ka).
Intensities are scaled so that the largest is 100.

Structural model:
```
data_Zr3Sn
_chemical_formula_sum 'Zr6 Sn2'
_cell_length_a 5.651
_cell_length_b 5.651
_cell_length_c 5.651
_cell_angle_alpha 90.00
_cell_angle_beta 90.00
_cell_angle_gamma 90.00
_symmetry_space_group_name_H-M 'P m -3 n'
_symmetry_Int_Tables_number 223
_symmetry_space_group_name_Hall '-P 4n 2 3'
loop_
_atom_site_label
_atom_site_type_symbol
_atom_site_fract_x
_atom_site_fract_y
_atom_site_fract_z
Zr1 Zr 0.000 0.250 0.500
Sn1 Sn 0.000 0.000 0.000
```

Most intense lines, 15° ≤ 2θ ≤ 90°, low angle first:
| index | 2theta | I/Imax |
| --- | --- | --- |
| 2 0 0 | 31.67 | 44 |
| 2 1 0 | 35.52 | 97 |
| 2 1 1 | 39.04 | 100 |
| 2 2 2 | 56.40 | 6 |
| 3 2 0 | 58.92 | 22 |
| 3 2 1 | 61.38 | 53 |
| 4 0 0 | 66.14 | 18 |
| 4 2 0 | 75.19 | 15 |
| 4 2 1 | 77.38 | 19 |
| 3 3 2 | 79.56 | 13 |

---

2.
For DyCuTe2ClO6, a crystal structure in the Materials Project, relaxed with GGA-PBE gives the theoretical XRD peak list in this record (Cu Ka).
Intensities are scaled so that the largest is 100.

Structural model:
```
data_DyCuTe2ClO6
_chemical_formula_sum 'Dy4 Cu4 Te8 Cl4 O24'
_cell_length_a 5.442
_cell_length_b 14.986
_cell_length_c 9.334
_cell_angle_alpha 90.00
_cell_angle_beta 99.95
_cell_angle_gamma 90.00
_symmetry_space_group_name_H-M 'P 1 21/c 1'
_symmetry_Int_Tables_number 14
loop_
_symmetry_equiv_pos_as_xyz
'x,y,z'
'-x,-y,-z'
'-x,y+1/2,-z+1/2'
'x,-y+1/2,z+1/2'
loop_
_atom_site_label
_atom_site_type_symbol
_atom_site_fract_x
_atom_site_fract_y
_atom_site_fract_z
Dy1 Dy 0.246 0.087 0.473
Cu1 Cu 0.227 0.223 0.171
Te1 Te 0.244 0.654 0.783
Te2 Te 0.280 0.586 0.296
Cl1 Cl 0.224 0.103 0.944
O1 O 0.001 0.176 0.597
O2 O 0.031 0.677 0.229
O3 O 0.131 0.517 0.135
O4 O 0.375 0.546 0.874
O5 O 0.462 0.138 0.292
O6 O 0.484 0.214 0.592
```

Most intense lines, 15° ≤ 2θ ≤ 90°, low angle first:
| index | 2theta | I/Imax |
| --- | --- | --- |
| 0 1 2 | 20.21 | 27 |
| 0 4 0 | 23.76 | 53 |
| 1 1 -2 | 23.97 | 57 |
| 1 3 -1 | 25.14 | 24 |
| 1 1 2 | 28.31 | 35 |
| 1 3 -2 | 29.38 | 100 |
| 1 4 -1 | 29.75 | 27 |
| 1 4 1 | 31.62 | 25 |
| 1 3 2 | 33.06 | 55 |
| 2 0 0 | 33.44 | 65 |

---

3.
For Ba3In2F12, a crystal structure in the Materials Project, relaxed with GGA-PBE gives the theoretical XRD peak list in this record (Cu Ka).
Intensities are scaled so that the largest is 100.

Structural model:
```
data_Ba3In2F12
_chemical_formula_sum 'Ba6 In4 F24'
_cell_length_a 9.731
_cell_length_b 9.731
_cell_length_c 5.724
_cell_angle_alpha 90.00
_cell_angle_beta 90.00
_cell_angle_gamma 90.00
_symmetry_space_group_name_H-M 'P 4/m b m'
_symmetry_Int_Tables_number 127
_symmetry_space_group_name_Hall '-P 4 2ab'
loop_
_atom_site_label
_atom_site_type_symbol
_atom_site_fract_x
_atom_site_fract_y
_atom_site_fract_z
Ba1 Ba 0.000 0.000 0.000
Ba2 Ba 0.179 0.321 0.500
In1 In 0.133 0.633 0.000
F1 F 0.000 0.500 0.222
F2 F 0.055 0.774 0.257
F3 F 0.208 0.292 0.000
```

Most intense lines, 15° ≤ 2θ ≤ 90°, low angle first:
| index | 2theta | I/Imax |
| --- | --- | --- |
| 2 0 1 | 24.01 | 32 |
| 2 1 1 | 25.72 | 100 |
| 3 1 0 | 29.02 | 31 |
| 0 0 2 | 31.25 | 15 |
| 4 1 0 | 38.13 | 16 |
| 2 2 2 | 41.02 | 15 |
| 4 1 1 | 41.38 | 14 |
| 3 1 2 | 43.17 | 42 |
| 2 1 3 | 52.36 | 15 |
| 4 4 0 | 53.18 | 18 |

---

4.
For Rb2Tb3AlF16, a crystal structure in the Materials Project, relaxed with GGA-PBE gives the theoretical XRD peak list in this record (Cu Ka).
Intensities are scaled so that the largest is 100.

Structural model:
```
data_Rb2Tb3AlF16
_chemical_formula_sum 'Rb4 Tb6 Al2 F32'
_cell_length_a 7.8108
_cell_length_b 7.8108
_cell_length_c 12.7657
_cell_angle_alpha 90.00
_cell_angle_beta 90.00
_cell_angle_gamma 120.00
_symmetry_space_group_name_H-M 'P 63/m m c'
_symmetry_Int_Tables_number 194
_symmetry_space_group_name_Hall '-P 6c 2c'
loop_
_atom_site_label
_atom_site_type_symbol
_atom_site_fract_x
_atom_site_fract_y
_atom_site_fract_z
Rb1 Rb 0.3333 0.6667 0.0642
Tb1 Tb 0.1672 0.3344 0.7500
Al1 Al 0.0000 0.0000 0.0000
F1 F 0.0000 0.0000 0.2500
F2 F 0.0998 0.5499 0.6543
F3 F 0.1121 0.2242 0.5799
F4 F 0.1827 0.3654 0.2500
```

Most intense lines, 15° ≤ 2θ ≤ 90°, low angle first:
| index | 2theta | I/Imax |
| --- | --- | --- |
| 1 0 3 | 24.72 | 35 |
| 1 1 2 | 26.76 | 50 |
| 2 0 1 | 27.28 | 100 |
| 2 1 3 | 41.19 | 18 |
| 0 0 6 | 42.51 | 25 |
| 2 0 5 | 44.46 | 40 |
| 2 2 0 | 46.51 | 34 |
| 2 0 6 | 50.70 | 21 |
| 2 2 4 | 55.14 | 21 |
| 2 2 6 | 64.81 | 25 |